Record 1
Diffraction record for Cs3DyO3. The powder XRD pattern is simulated, not measured: it uses a PBE-relaxed structure and Cu Kα (weighted mean of Kα1 and Kα2).
Peak positions follow from Bragg's law for the DFT cell and can differ from measured ones.

The 10 most intense peaks (15 to 90 degrees two-theta), by intensity:
two_theta, d (Å), I_rel
27.2, 3.279, 1000
27.7, 3.226, 610
27.0, 3.300, 526
28.2, 3.169, 333
26.4, 3.380, 316
48.2, 1.889, 236
25.7, 3.472, 214
43.5, 2.081, 202
24.8, 3.588, 197
28.9, 3.085, 165

Structure:
Cell: 7.983 15.108 7.565 Å, 90.00 116.67 90.00°
Fractional positions:
1 Cs 0.034 0.188 0.409
2 Cs 0.034 0.312 0.909
3 Cs 0.227 0.045 0.986
4 Cs 0.227 0.455 0.486
5 Cs 0.420 0.697 0.638
6 Cs 0.420 0.803 0.138
7 Cs 0.580 0.197 0.862
8 Cs 0.580 0.303 0.362
9 Cs 0.773 0.545 0.514
10 Cs 0.773 0.955 0.014
11 Cs 0.966 0.688 0.091
12 Cs 0.966 0.812 0.591
13 Dy 0.336 0.560 0.012
14 Dy 0.336 0.940 0.512
15 Dy 0.664 0.060 0.488
16 Dy 0.664 0.440 0.988
17 O 0.137 0.635 0.769
18 O 0.137 0.865 0.269
19 O 0.317 0.595 0.276
20 O 0.317 0.905 0.776
21 O 0.382 0.082 0.462
22 O 0.382 0.418 0.962
23 O 0.618 0.582 0.038
24 O 0.618 0.918 0.538
25 O 0.683 0.095 0.224
26 O 0.683 0.405 0.724
27 O 0.863 0.135 0.731
28 O 0.863 0.365 0.231

---

Record 2
Diffraction record for Cs3DyO3. The powder XRD pattern is simulated, not measured: it uses a PBE-relaxed structure and Cu Kα (weighted mean of Kα1 and Kα2).
Peak positions follow from Bragg's law for the DFT cell and can differ from measured ones.

The 10 most intense peaks (15 to 90 degrees two-theta), by intensity:
two_theta, d (Å), I_rel
27.5, 3.248, 1000
26.4, 3.372, 568
25.1, 3.545, 310
25.3, 3.522, 226
36.1, 2.490, 199
27.3, 3.265, 197
34.5, 2.597, 196
35.2, 2.553, 188
50.6, 1.806, 188
30.8, 2.901, 186

Structure:
Cell: 7.634 7.634 7.668 Å, 95.92 95.92 116.38°
Fractional positions:
1 Cs 0.211 0.789 0.000
2 Cs 0.261 0.739 0.500
3 Cs 0.358 0.358 0.150
4 Cs 0.642 0.642 0.850
5 Cs 0.739 0.261 0.500
6 Cs 0.789 0.211 0.000
7 Dy 0.174 0.174 0.650
8 Dy 0.826 0.826 0.350
9 O 0.100 0.100 0.357
10 O 0.168 0.438 0.766
11 O 0.438 0.168 0.766
12 O 0.562 0.832 0.234
13 O 0.832 0.562 0.234
14 O 0.900 0.900 0.643

---

Record 3
Diffraction record for CsDyO2. The powder XRD pattern is simulated, not measured: it uses a PBE-relaxed structure and Cu Kα (weighted mean of Kα1 and Kα2).
Peak positions follow from Bragg's law for the DFT cell and can differ from measured ones.

The 10 most intense peaks (15 to 90 degrees two-theta), by intensity:
two_theta, d (Å), I_rel
31.8, 2.814, 1000
25.9, 3.437, 450
49.6, 1.840, 355
35.1, 2.559, 328
58.4, 1.581, 290
51.3, 1.781, 282
29.7, 3.010, 245
61.6, 1.505, 153
84.2, 1.149, 131
39.2, 2.296, 129

Structure:
Cell: 3.562 3.562 13.750 Å, 90.00 90.00 120.00°
Fractional positions:
1 Cs 0.333 0.667 0.250
2 Cs 0.667 0.333 0.750
3 Dy 0.000 0.000 0.000
4 Dy 0.000 0.000 0.500
5 O 0.333 0.667 0.582
6 O 0.333 0.667 0.918
7 O 0.667 0.333 0.082
8 O 0.667 0.333 0.418

---

What did the third record say?
Diffraction record for CsDyO2. The powder XRD pattern is simulated, not measured: it uses a PBE-relaxed structure and Cu Kα (weighted mean of Kα1 and Kα2).
Peak positions follow from Bragg's law for the DFT cell and can differ from measured ones.

The 10 most intense peaks (15 to 90 degrees two-theta), by intensity:
two_theta, d (Å), I_rel
31.8, 2.814, 1000
25.9, 3.437, 450
49.6, 1.840, 355
35.1, 2.559, 328
58.4, 1.581, 290
51.3, 1.781, 282
29.7, 3.010, 245
61.6, 1.505, 153
84.2, 1.149, 131
39.2, 2.296, 129

Structure:
Cell: 3.562 3.562 13.750 Å, 90.00 90.00 120.00°
Fractional positions:
1 Cs 0.333 0.667 0.250
2 Cs 0.667 0.333 0.750
3 Dy 0.000 0.000 0.000
4 Dy 0.000 0.000 0.500
5 O 0.333 0.667 0.582
6 O 0.333 0.667 0.918
7 O 0.667 0.333 0.082
8 O 0.667 0.333 0.418